The following is a calculated powder diffraction line list of LiMnSiO4. It was derived from DFT lattice parameters and positions (PBE+U), using Cu Kα, 1.54184 Å.
No peak broadening, texture or thermal motion is included.

Peak list (12 most intense, 2θ from 10° to 90°, by intensity)
Position (°2θ)  I (rel.)  (hkl)
11.31  100  0 0 2
25.77  26  1 1 3
33.41  17  1 2 3
37.73  13  0 2 5
30.78  12  1 2 2
34.60  12  2 1 2
32.55  11  2 1 0
24.84  8  0 2 1
36.79  7  1 2 4
64.57  7  2 3 7
56.90  6  2 3 5
29.11  5  1 2 1

Structure:
abc: 5.930 7.365 15.640
angles: 90.00 90.00 90.00
Positions (direct):
Li1 0.090 0.237 0.235
Li2 0.090 0.263 0.735
Li3 0.410 0.737 0.235
Li4 0.410 0.763 0.735
Li5 0.590 0.237 0.265
Li6 0.590 0.263 0.765
Li7 0.910 0.737 0.265
Li8 0.910 0.763 0.765
Mn1 0.111 0.670 0.466
Mn2 0.111 0.830 0.966
Mn3 0.389 0.170 0.466
Mn4 0.389 0.330 0.966
Mn5 0.611 0.670 0.034
Mn6 0.611 0.830 0.534
Mn7 0.889 0.170 0.034
Mn8 0.889 0.330 0.534
Si1 0.093 0.533 0.114
Si2 0.093 0.967 0.614
Si3 0.407 0.033 0.114
Si4 0.407 0.467 0.614
Si5 0.593 0.533 0.386
Si6 0.593 0.967 0.886
Si7 0.907 0.033 0.386
Si8 0.907 0.467 0.886
O1 0.033 0.666 0.878
O2 0.033 0.834 0.378
O3 0.065 0.175 0.444
O4 0.065 0.325 0.944
O5 0.142 0.609 0.207
O6 0.142 0.891 0.707
O7 0.169 0.013 0.055
O8 0.169 0.487 0.555
O9 0.331 0.513 0.055
O10 0.331 0.987 0.555
O11 0.358 0.109 0.207
O12 0.358 0.391 0.707
O13 0.435 0.675 0.444
O14 0.435 0.825 0.944
O15 0.467 0.166 0.878
O16 0.467 0.334 0.378
O17 0.533 0.666 0.622
O18 0.533 0.834 0.122
O19 0.565 0.175 0.056
O20 0.565 0.325 0.556
O21 0.642 0.609 0.293
O22 0.642 0.891 0.793
O23 0.669 0.013 0.445
O24 0.669 0.487 0.945
O25 0.831 0.513 0.445
O26 0.831 0.987 0.945
O27 0.858 0.109 0.293
O28 0.858 0.391 0.793
O29 0.935 0.675 0.056
O30 0.935 0.825 0.556
O31 0.967 0.166 0.622
O32 0.967 0.334 0.122